Structure and simulated XRD peak list of K2MgFe4P6O16F12 (a GGA+U-relaxed structure; λ = 1.5418 Å (Cu Kα)).
Peak positions follow from Bragg's law for the DFT cell and can differ from measured ones.

Structure:
```
K2MgFe4P6O16F12
1.0
7.632 0.000 0.000
-0.360 7.882 0.000
-2.137 -1.777 9.764
K Mg Fe P O F
2 1 4 6 16 12
direct
0.204 0.098 0.221
0.796 0.902 0.779
0.500 0.000 0.500
0.000 0.500 0.500
0.156 0.293 0.838
0.500 0.000 0.000
0.844 0.707 0.162
0.168 0.691 0.997
0.225 0.923 0.631
0.422 0.406 0.652
0.578 0.594 0.348
0.775 0.077 0.369
0.832 0.309 0.003
0.079 0.763 0.114
0.125 0.749 0.592
0.134 0.056 0.712
0.203 0.503 0.983
0.283 0.427 0.531
0.325 0.812 0.994
0.387 0.351 0.778
0.433 0.935 0.669
0.567 0.065 0.331
0.613 0.649 0.222
0.675 0.188 0.006
0.717 0.573 0.469
0.797 0.497 0.017
0.866 0.944 0.288
0.875 0.251 0.408
0.921 0.237 0.886
0.021 0.702 0.861
0.029 0.398 0.689
0.221 0.998 0.479
0.294 0.165 0.980
0.432 0.438 0.301
0.450 0.736 0.406
0.550 0.264 0.594
0.568 0.562 0.699
0.706 0.835 0.020
0.779 0.002 0.521
0.971 0.602 0.311
0.979 0.298 0.139
```

The 12 most intense peaks (2θ from 15° to 90°), sorted by position:
15.82°, I = 17.8; 16.51°, I = 32.0; 17.20°, I = 21.9; 23.69°, I = 22.9; 24.63°, I = 100.0; 26.04°, I = 17.5; 26.20°, I = 82.0; 27.38°, I = 41.0; 28.63°, I = 37.9; 30.51°, I = 17.5; 36.15°, I = 19.3; 50.49°, I = 14.9

Structure and simulated XRD peak list of Li2FeF4 (a GGA+U-relaxed structure; λ = 1.5418 Å (Cu Kα)).
Peak positions follow from Bragg's law for the DFT cell and can differ from measured ones.

Structure:
```
Li2FeF4
1.0
10.215 0.000 0.000
0.000 7.130 0.000
-4.692 0.000 8.893
Li Fe F
16 8 32
direct
0.126 0.127 0.069
0.126 0.373 0.569
0.154 0.522 0.074
0.154 0.978 0.574
0.344 0.007 0.926
0.344 0.493 0.426
0.356 0.090 0.430
0.356 0.410 0.930
0.644 0.590 0.070
0.644 0.910 0.570
0.656 0.507 0.574
0.656 0.993 0.074
0.846 0.022 0.426
0.846 0.478 0.926
0.874 0.627 0.431
0.874 0.873 0.931
0.021 0.712 0.760
0.021 0.788 0.260
0.483 0.713 0.247
0.483 0.787 0.747
0.517 0.213 0.253
0.517 0.287 0.753
0.979 0.212 0.740
0.979 0.288 0.240
0.013 0.164 0.439
0.013 0.336 0.939
0.037 0.533 0.380
0.037 0.967 0.880
0.185 0.222 0.757
0.185 0.278 0.257
0.203 0.595 0.916
0.203 0.905 0.416
0.300 0.637 0.247
0.300 0.863 0.747
0.314 0.152 0.074
0.314 0.348 0.574
0.492 0.534 0.860
0.492 0.966 0.360
0.495 0.166 0.924
0.495 0.334 0.424
0.505 0.666 0.576
0.505 0.834 0.076
0.508 0.034 0.640
0.508 0.466 0.140
0.686 0.652 0.426
0.686 0.848 0.926
0.700 0.137 0.253
0.700 0.363 0.753
0.797 0.095 0.584
0.797 0.405 0.084
0.815 0.722 0.743
0.815 0.778 0.243
0.963 0.033 0.120
0.963 0.467 0.620
0.987 0.664 0.061
0.987 0.836 0.561
```

The 12 most intense peaks (2θ from 15° to 90°), sorted by position:
19.65°, I = 100.0; 19.97°, I = 58.0; 20.47°, I = 54.2; 24.98°, I = 31.9; 27.04°, I = 29.6; 31.98°, I = 21.1; 32.19°, I = 52.1; 32.51°, I = 19.5; 37.05°, I = 21.5; 37.96°, I = 20.9; 39.91°, I = 26.4; 48.24°, I = 27.5

Structure and simulated XRD peak list of MgCr2Co4O12 (a GGA+U-relaxed structure; λ = 1.5418 Å (Cu Kα)).
Peak positions follow from Bragg's law for the DFT cell and can differ from measured ones.

Structure:
```
MgCr2Co4O12
1.0
5.044 0.000 0.000
-2.517 4.372 0.000
-0.004 -0.030 10.222
Mg Cr Co O
1 2 4 12
direct
0.000 0.000 0.000
0.341 0.838 0.251
0.840 0.339 0.749
0.007 0.171 0.259
0.173 0.006 0.741
0.510 0.681 0.744
0.682 0.506 0.254
0.001 0.849 0.347
0.163 0.309 0.852
0.182 0.678 0.655
0.311 0.161 0.148
0.338 0.491 0.342
0.490 0.992 0.842
0.492 0.337 0.656
0.682 0.180 0.345
0.696 0.852 0.150
0.849 0.000 0.651
0.854 0.696 0.849
0.994 0.487 0.157
```

The 12 most intense peaks (2θ from 15° to 90°), sorted by position:
17.35°, I = 100.0; 35.11°, I = 5.2; 35.56°, I = 7.7; 36.70°, I = 27.5; 39.83°, I = 19.1; 44.68°, I = 21.8; 44.75°, I = 9.4; 50.77°, I = 6.7; 50.91°, I = 6.7; 58.03°, I = 8.0; 58.11°, I = 8.1; 64.60°, I = 13.8

Structure and simulated XRD peak list of LiVF4 (a GGA+U-relaxed structure; λ = 1.5418 Å (Cu Kα)).
Peak positions follow from Bragg's law for the DFT cell and can differ from measured ones.

Structure:
```
LiVF4
1.0
7.994 0.000 0.000
0.000 5.197 0.000
-1.848 0.000 7.092
Li V F
4 4 16
direct
0.144 0.204 0.002
0.144 0.296 0.502
0.856 0.704 0.498
0.856 0.796 0.998
0.329 0.724 0.234
0.329 0.776 0.734
0.671 0.224 0.266
0.671 0.276 0.766
0.110 0.619 0.626
0.110 0.881 0.126
0.209 0.092 0.768
0.209 0.408 0.268
0.325 0.600 0.977
0.325 0.900 0.477
0.443 0.050 0.170
0.443 0.450 0.670
0.557 0.550 0.330
0.557 0.950 0.830
0.675 0.100 0.523
0.675 0.400 0.023
0.791 0.592 0.732
0.791 0.908 0.232
0.890 0.119 0.874
0.890 0.381 0.374
```

The 12 most intense peaks (2θ from 15° to 90°), sorted by position:
20.59°, I = 100.0; 22.99°, I = 27.8; 24.84°, I = 24.3; 25.11°, I = 43.6; 28.77°, I = 37.1; 30.29°, I = 24.9; 37.68°, I = 21.0; 42.01°, I = 24.3; 43.88°, I = 22.1; 50.34°, I = 21.9; 51.96°, I = 20.9; 54.14°, I = 23.3

Structure and simulated XRD peak list of SrCa7Mn7CrO21 (a GGA+U-relaxed structure; λ = 1.5418 Å (Cu Kα)).
Peak positions follow from Bragg's law for the DFT cell and can differ from measured ones.

Structure:
```
SrCa7Mn7CrO21
1.0
7.757 0.000 0.000
0.022 7.775 0.000
0.005 0.084 7.790
Sr Ca Mn Cr O
1 7 7 1 21
direct
0.000 0.000 0.000
0.001 0.522 0.962
0.011 0.956 0.488
0.017 0.505 0.498
0.487 0.017 0.008
0.491 0.991 0.519
0.501 0.536 0.960
0.503 0.540 0.484
0.253 0.738 0.240
0.256 0.230 0.260
0.256 0.259 0.742
0.257 0.738 0.740
0.750 0.257 0.747
0.751 0.765 0.735
0.752 0.732 0.243
0.743 0.262 0.238
0.001 0.740 0.274
0.003 0.308 0.751
0.012 0.722 0.710
0.223 0.715 0.986
0.229 0.173 0.514
0.251 0.478 0.296
0.251 0.984 0.204
0.262 0.251 0.996
0.282 0.779 0.496
0.308 0.500 0.713
0.491 0.809 0.780
0.500 0.194 0.736
0.504 0.728 0.204
0.539 0.169 0.290
0.705 0.506 0.721
0.716 0.790 0.484
0.727 0.264 0.009
0.758 0.473 0.322
0.783 0.741 0.991
0.809 0.016 0.724
0.941 0.153 0.280
```

The 12 most intense peaks (2θ from 15° to 90°), sorted by position:
22.86°, I = 9.4; 32.36°, I = 26.8; 32.60°, I = 100.0; 32.72°, I = 24.5; 46.64°, I = 18.5; 46.74°, I = 14.9; 46.85°, I = 19.9; 57.83°, I = 15.7; 57.99°, I = 9.8; 58.30°, I = 22.3; 68.24°, I = 12.6; 77.82°, I = 7.9

Structure and simulated XRD peak list of Na3MgCo2SbO6 (a GGA+U-relaxed structure; λ = 1.5418 Å (Cu Kα)).
Peak positions follow from Bragg's law for the DFT cell and can differ from measured ones.

Structure:
```
Na3MgCo2SbO6
1.0
5.772 0.000 0.000
0.305 6.231 0.000
0.140 3.111 5.505
Na Mg Co Sb O
3 1 2 1 6
direct
0.000 0.000 0.000
0.001 0.430 0.141
0.716 0.436 0.571
0.952 0.899 0.569
0.543 0.576 0.944
0.543 0.949 0.198
0.364 0.072 0.572
0.030 0.207 0.571
0.223 0.012 0.311
0.223 0.752 0.830
0.642 0.804 0.572
0.686 0.262 0.008
0.686 0.699 0.136
```

The 12 most intense peaks (2θ from 15° to 90°), sorted by position:
15.37°, I = 55.1; 16.35°, I = 100.0; 22.02°, I = 79.9; 22.33°, I = 26.2; 28.22°, I = 47.5; 32.57°, I = 49.5; 32.65°, I = 24.5; 33.04°, I = 29.3; 34.61°, I = 26.1; 35.14°, I = 31.5; 43.83°, I = 33.0; 46.23°, I = 34.1

Please write out number 4 again, unchanged.
Structure and simulated XRD peak list of LiVF4 (a GGA+U-relaxed structure; λ = 1.5418 Å (Cu Kα)).
Peak positions follow from Bragg's law for the DFT cell and can differ from measured ones.

Structure:
```
LiVF4
1.0
7.994 0.000 0.000
0.000 5.197 0.000
-1.848 0.000 7.092
Li V F
4 4 16
direct
0.144 0.204 0.002
0.144 0.296 0.502
0.856 0.704 0.498
0.856 0.796 0.998
0.329 0.724 0.234
0.329 0.776 0.734
0.671 0.224 0.266
0.671 0.276 0.766
0.110 0.619 0.626
0.110 0.881 0.126
0.209 0.092 0.768
0.209 0.408 0.268
0.325 0.600 0.977
0.325 0.900 0.477
0.443 0.050 0.170
0.443 0.450 0.670
0.557 0.550 0.330
0.557 0.950 0.830
0.675 0.100 0.523
0.675 0.400 0.023
0.791 0.592 0.732
0.791 0.908 0.232
0.890 0.119 0.874
0.890 0.381 0.374
```

The 12 most intense peaks (2θ from 15° to 90°), sorted by position:
20.59°, I = 100.0; 22.99°, I = 27.8; 24.84°, I = 24.3; 25.11°, I = 43.6; 28.77°, I = 37.1; 30.29°, I = 24.9; 37.68°, I = 21.0; 42.01°, I = 24.3; 43.88°, I = 22.1; 50.34°, I = 21.9; 51.96°, I = 20.9; 54.14°, I = 23.3

Copy entry 2 word for word.
Structure and simulated XRD peak list of Li2FeF4 (a GGA+U-relaxed structure; λ = 1.5418 Å (Cu Kα)).
Peak positions follow from Bragg's law for the DFT cell and can differ from measured ones.

Structure:
```
Li2FeF4
1.0
10.215 0.000 0.000
0.000 7.130 0.000
-4.692 0.000 8.893
Li Fe F
16 8 32
direct
0.126 0.127 0.069
0.126 0.373 0.569
0.154 0.522 0.074
0.154 0.978 0.574
0.344 0.007 0.926
0.344 0.493 0.426
0.356 0.090 0.430
0.356 0.410 0.930
0.644 0.590 0.070
0.644 0.910 0.570
0.656 0.507 0.574
0.656 0.993 0.074
0.846 0.022 0.426
0.846 0.478 0.926
0.874 0.627 0.431
0.874 0.873 0.931
0.021 0.712 0.760
0.021 0.788 0.260
0.483 0.713 0.247
0.483 0.787 0.747
0.517 0.213 0.253
0.517 0.287 0.753
0.979 0.212 0.740
0.979 0.288 0.240
0.013 0.164 0.439
0.013 0.336 0.939
0.037 0.533 0.380
0.037 0.967 0.880
0.185 0.222 0.757
0.185 0.278 0.257
0.203 0.595 0.916
0.203 0.905 0.416
0.300 0.637 0.247
0.300 0.863 0.747
0.314 0.152 0.074
0.314 0.348 0.574
0.492 0.534 0.860
0.492 0.966 0.360
0.495 0.166 0.924
0.495 0.334 0.424
0.505 0.666 0.576
0.505 0.834 0.076
0.508 0.034 0.640
0.508 0.466 0.140
0.686 0.652 0.426
0.686 0.848 0.926
0.700 0.137 0.253
0.700 0.363 0.753
0.797 0.095 0.584
0.797 0.405 0.084
0.815 0.722 0.743
0.815 0.778 0.243
0.963 0.033 0.120
0.963 0.467 0.620
0.987 0.664 0.061
0.987 0.836 0.561
```

The 12 most intense peaks (2θ from 15° to 90°), sorted by position:
19.65°, I = 100.0; 19.97°, I = 58.0; 20.47°, I = 54.2; 24.98°, I = 31.9; 27.04°, I = 29.6; 31.98°, I = 21.1; 32.19°, I = 52.1; 32.51°, I = 19.5; 37.05°, I = 21.5; 37.96°, I = 20.9; 39.91°, I = 26.4; 48.24°, I = 27.5